1.
Calculated powder X-ray diffraction pattern of V2IrRuRh5 for Cu Kα X-rays, from DFT lattice parameters and positions (GGA-PBE).
Peak positions follow from Bragg's law for the DFT cell and can differ from measured ones.

```
data_V2IrRuRh5
_chemical_formula_sum 'V8 Ir4 Ru4 Rh20'
_cell_length_a 6.9540
_cell_length_b 6.9540
_cell_length_c 10.9836
_cell_angle_alpha 90.00
_cell_angle_beta 90.00
_cell_angle_gamma 90.00
_space_group_name_H-M_alt 'I 4/m c m'
_space_group_IT_number 140
_space_group_name_Hall '-I 4 2c'
loop_
_atom_site_label
_atom_site_type_symbol
_atom_site_fract_x
_atom_site_fract_y
_atom_site_fract_z
V1 V 0.1090 0.3910 0.0000
Ir1 Ir 0.0000 0.0000 0.2500
Ru1 Ru 0.0000 0.5000 0.2500
Rh1 Rh 0.0000 0.0000 0.0000
Rh2 Rh 0.2157 0.2843 0.3662
```

Peak list (10 most intense, 2θ = 10–80°, in order of falling intensity)
index, 2θ/deg, d [Å], I (rel.)
2 0 4, 41.9, 2.155, 100
2 2 0, 36.5, 2.459, 66
4 2 4, 69.5, 1.353, 27
2 1 3, 38.0, 2.370, 17
4 0 0, 52.6, 1.739, 14
3 1 0, 41.0, 2.199, 14
2 2 2, 40.2, 2.244, 9
1 1 0, 18.0, 4.917, 8
4 1 1, 55.1, 1.667, 8
0 0 8, 68.3, 1.373, 7

=====

2.
Calculated powder X-ray diffraction pattern of IrRh2Se for Cu Kα X-rays, from DFT lattice parameters and positions (GGA-PBE).
Peak positions follow from Bragg's law for the DFT cell and can differ from measured ones.

```
data_IrRh2Se
_chemical_formula_sum 'Ir1 Rh2 Se1'
_cell_length_a 2.8495
_cell_length_b 3.7195
_cell_length_c 5.6883
_cell_angle_alpha 90.00
_cell_angle_beta 90.20
_cell_angle_gamma 90.00
_space_group_name_H-M_alt 'P 1 2/m 1'
_space_group_IT_number 10
_space_group_name_Hall '-P 2y'
loop_
_atom_site_label
_atom_site_type_symbol
_atom_site_fract_x
_atom_site_fract_y
_atom_site_fract_z
Ir1 Ir 0.0000 0.0000 0.0000
Rh1 Rh 0.4969 0.5000 0.7572
Se1 Se 0.0000 0.0000 0.5000
```

Peak list (10 most intense, 2θ = 10–80°, in order of falling intensity)
index, 2θ/deg, d [Å], I (rel.)
1 1 0, 39.9, 2.261, 100
1 0 -2, 45.0, 2.017, 18
1 0 2, 45.1, 2.009, 18
0 0 1, 15.6, 5.688, 15
0 2 0, 49.0, 1.860, 14
2 1 -2, 79.5, 1.206, 13
1 2 -2, 68.7, 1.367, 10
1 2 2, 68.8, 1.365, 10
2 1 2, 79.7, 1.204, 7
1 1 4, 79.8, 1.202, 7